1.
For DyScCuPt, a structure optimized by DFT (GGA-PBE) gives the simulated powder X-ray diffraction pattern in this record (Cu Kα (weighted mean of Kα1 and Kα2)).
Kinematic intensities with the Lorentz-polarization factor, no thermal factor.

Main lines, in order of rising 2θ (10 to 90 degrees two-theta):
| two_theta | I_rel |
| --- | --- |
| 20.47 | 56.3 |
| 26.16 | 36.7 |
| 33.44 | 100.0 |
| 34.72 | 31.7 |
| 36.04 | 33.6 |
| 40.64 | 45.3 |
| 41.62 | 35.9 |
| 41.80 | 89.9 |

Structural model:
```
DyScCuPt
1.0
4.3396 0.0000 0.0000
0.0000 1.8041 5.1681
0.0000 -1.8041 5.1681
Dy Sc Cu Pt
1 1 1 1
Cartesian
0.0000 0.0000 0.0000 Dy
2.1698 0.0000 2.8951 Sc
2.1698 0.0000 5.8363 Cu
0.0000 0.0000 7.4778 Pt
```

2.
For Dy3CuSi2Pt9, a structure optimized by DFT (GGA-PBE) gives the simulated powder X-ray diffraction pattern in this record (Cu Kα (weighted mean of Kα1 and Kα2)).
Kinematic intensities with the Lorentz-polarization factor, no thermal factor.

Main lines, in order of rising 2θ (10 to 90 degrees two-theta):
| two_theta | I_rel |
| --- | --- |
| 24.83 | 67.8 |
| 37.75 | 100.0 |
| 38.19 | 13.2 |
| 40.55 | 91.2 |
| 50.46 | 33.1 |
| 57.03 | 17.0 |
| 66.24 | 25.7 |
| 71.91 | 22.1 |

Structural model:
```
Dy3CuSi2Pt9
1.0
5.6437 0.0000 0.0000
-2.8219 4.8876 0.0000
0.0000 0.0000 10.7578
Dy Cu Si Pt
3 1 2 9
Cartesian
0.0000 0.0000 0.0000 Dy
0.0000 3.2584 6.2199 Dy
2.8219 1.6292 4.5379 Dy
0.0000 0.0000 5.3789 Cu
0.0000 3.2584 1.7742 Si
2.8219 1.6292 8.9837 Si
-1.4109 2.4438 0.0000 Pt
0.0000 1.5918 3.4345 Pt
-1.4433 4.0917 3.4345 Pt
1.3785 0.7959 7.3233 Pt
2.8219 0.0000 0.0000 Pt
1.4109 2.4438 0.0000 Pt
1.4433 4.0917 3.4345 Pt
4.2652 0.7959 7.3233 Pt
2.8219 3.2958 7.3233 Pt
```

3.
For Dy2ZnCu2Pt5, a structure optimized by DFT (GGA-PBE) gives the simulated powder X-ray diffraction pattern in this record (Cu Kα (weighted mean of Kα1 and Kα2)).
Kinematic intensities with the Lorentz-polarization factor, no thermal factor.

Main lines, in order of rising 2θ (10 to 90 degrees two-theta):
| two_theta | I_rel |
| --- | --- |
| 31.46 | 34.6 |
| 35.70 | 19.2 |
| 38.29 | 100.0 |
| 39.81 | 54.8 |
| 41.02 | 17.2 |
| 41.93 | 43.5 |
| 46.77 | 30.9 |
| 63.05 | 32.6 |

Structural model:
```
Dy2ZnCu2Pt5
1.0
9.3352 0.0000 0.0000
0.0000 9.3352 0.0000
0.0000 0.0000 3.8846
Dy Zn Cu Pt
4 2 4 10
Cartesian
1.6359 3.0317 0.0000 Dy
3.0317 7.6993 0.0000 Dy
6.3035 1.6359 0.0000 Dy
7.6993 6.3035 0.0000 Dy
0.0000 0.0000 0.0000 Zn
4.6676 4.6676 0.0000 Zn
1.1470 5.8146 0.0000 Cu
3.5206 1.1470 0.0000 Cu
5.8146 8.1882 0.0000 Cu
8.1882 3.5206 0.0000 Cu
0.0000 4.6676 1.9423 Pt
0.6464 7.4411 1.9423 Pt
1.8941 0.6464 1.9423 Pt
2.7735 5.3140 1.9423 Pt
4.0212 2.7735 1.9423 Pt
4.6676 0.0000 1.9423 Pt
5.3140 6.5617 1.9423 Pt
6.5617 4.0212 1.9423 Pt
7.4411 8.6888 1.9423 Pt
8.6888 1.8941 1.9423 Pt
```

4.
For Dy2PuCu9, a structure optimized by DFT (GGA-PBE) gives the simulated powder X-ray diffraction pattern in this record (Cu Kα (weighted mean of Kα1 and Kα2)).
Kinematic intensities with the Lorentz-polarization factor, no thermal factor.

Main lines, in order of rising 2θ (10 to 90 degrees two-theta):
| two_theta | I_rel |
| --- | --- |
| 32.25 | 48.0 |
| 34.49 | 53.0 |
| 35.27 | 34.3 |
| 40.21 | 38.9 |
| 41.07 | 100.0 |
| 60.39 | 16.3 |
| 66.28 | 23.4 |
| 72.74 | 20.4 |

Structural model:
```
Dy2PuCu9
1.0
2.6002 1.5012 8.2230
-2.6002 1.5012 8.2230
0.0000 -3.0024 8.2230
Dy Pu Cu
2 1 9
Cartesian
0.0000 0.0000 3.4987 Dy
0.0000 0.0000 21.1703 Dy
0.0000 0.0000 0.0000 Pu
-1.2983 -0.7496 10.2503 Cu
0.0000 0.0000 8.2010 Cu
0.0000 -1.4991 14.4188 Cu
-1.2983 0.7496 14.4188 Cu
0.0000 0.0000 12.3345 Cu
1.2983 -0.7496 10.2502 Cu
0.0000 1.4991 10.2502 Cu
0.0000 0.0000 16.4680 Cu
1.2983 0.7496 14.4188 Cu
```

5.
For DyPuCu10, a structure optimized by DFT (GGA-PBE) gives the simulated powder X-ray diffraction pattern in this record (Cu Kα (weighted mean of Kα1 and Kα2)).
Kinematic intensities with the Lorentz-polarization factor, no thermal factor.

Main lines, in order of rising 2θ (10 to 90 degrees two-theta):
| two_theta | I_rel |
| --- | --- |
| 30.01 | 59.2 |
| 35.63 | 23.0 |
| 41.29 | 24.4 |
| 42.15 | 100.0 |
| 44.53 | 25.5 |
| 58.27 | 16.7 |
| 62.37 | 21.1 |
| 68.36 | 15.2 |

Structural model:
```
DyPuCu10
1.0
4.0691 0.0000 0.0000
0.0000 5.0545 0.0000
0.0000 0.0000 8.7190
Dy Pu Cu
1 1 10
Cartesian
0.0000 0.0000 0.0000 Dy
0.0000 2.5273 4.3595 Pu
0.0000 0.0000 2.8894 Cu
0.0000 0.0000 5.8295 Cu
0.0000 2.5273 1.4344 Cu
0.0000 2.5273 7.2846 Cu
2.0346 0.0000 4.3595 Cu
2.0346 1.2549 2.1557 Cu
2.0346 1.2549 6.5633 Cu
2.0346 2.5273 0.0000 Cu
2.0346 3.7996 2.1557 Cu
2.0346 3.7996 6.5633 Cu
```

6.
For Dy4CuRh2, a structure optimized by DFT (GGA-PBE) gives the simulated powder X-ray diffraction pattern in this record (Cu Kα (weighted mean of Kα1 and Kα2)).
Kinematic intensities with the Lorentz-polarization factor, no thermal factor.

Main lines, in order of rising 2θ (10 to 90 degrees two-theta):
| two_theta | I_rel |
| --- | --- |
| 29.27 | 18.4 |
| 32.73 | 100.0 |
| 32.90 | 45.5 |
| 38.95 | 33.6 |
| 39.05 | 38.0 |
| 54.13 | 16.7 |
| 54.23 | 18.8 |
| 66.60 | 11.4 |

Structural model:
```
Dy4CuRh2
1.0
6.1112 -4.3021 0.0000
6.1112 4.3021 0.0000
-6.1077 0.0000 6.1279
Dy Cu Rh
8 2 4
Cartesian
-0.7580 0.0000 1.5226 Dy
1.5233 0.9658 3.8043 Dy
-1.5293 -1.1821 5.3888 Dy
4.5913 0.9658 2.3236 Dy
2.2983 -2.1504 1.5434 Dy
7.6439 -1.1821 0.7392 Dy
3.8164 -2.1504 4.5845 Dy
6.8727 0.0000 4.6053 Dy
3.0573 3.6775 3.0640 Cu
6.1112 1.5540 0.0000 Cu
2.3322 0.4815 0.7391 Rh
0.7235 -1.6687 3.7983 Rh
3.7824 0.4815 5.3889 Rh
5.3911 -1.6687 2.3297 Rh
```

7.
For Dy2CuSi4Rh3, a structure optimized by DFT (GGA-PBE) gives the simulated powder X-ray diffraction pattern in this record (Cu Kα (weighted mean of Kα1 and Kα2)).
Kinematic intensities with the Lorentz-polarization factor, no thermal factor.

Main lines, in order of rising 2θ (10 to 90 degrees two-theta):
| two_theta | I_rel |
| --- | --- |
| 30.81 | 30.0 |
| 32.15 | 23.2 |
| 34.95 | 83.7 |
| 35.90 | 100.0 |
| 44.14 | 58.8 |
| 51.35 | 31.4 |
| 57.50 | 39.6 |
| 69.99 | 24.7 |

Structural model:
```
Dy2CuSi4Rh3
1.0
4.1038 0.0000 0.0000
0.0000 4.1038 0.0000
0.0000 0.0000 9.8723
Dy Cu Si Rh
2 1 4 3
Cartesian
0.0000 2.0519 2.4297 Dy
2.0519 0.0000 7.4426 Dy
0.0000 0.0000 4.9362 Cu
0.0000 0.0000 0.0000 Si
0.0000 2.0519 6.2390 Si
2.0519 0.0000 3.6333 Si
2.0519 2.0519 0.0000 Si
0.0000 2.0519 8.6126 Rh
2.0519 0.0000 1.2598 Rh
2.0519 2.0519 4.9362 Rh
```

8.
For Dy2Cu2SnRh5, a structure optimized by DFT (GGA-PBE) gives the simulated powder X-ray diffraction pattern in this record (Cu Kα (weighted mean of Kα1 and Kα2)).
Kinematic intensities with the Lorentz-polarization factor, no thermal factor.

Main lines, in order of rising 2θ (10 to 90 degrees two-theta):
| two_theta | I_rel |
| --- | --- |
| 31.60 | 32.9 |
| 35.80 | 24.3 |
| 38.37 | 100.0 |
| 39.66 | 44.3 |
| 41.98 | 31.3 |
| 43.17 | 16.9 |
| 47.35 | 26.5 |
| 63.42 | 22.0 |

Structural model:
```
Dy2Cu2SnRh5
1.0
9.3711 0.0000 0.0000
0.0000 9.3711 0.0000
0.0000 0.0000 3.8396
Dy Cu Sn Rh
4 4 2 10
Cartesian
1.6320 3.0535 0.0000 Dy
3.0535 7.7391 0.0000 Dy
6.3175 1.6320 0.0000 Dy
7.7391 6.3175 0.0000 Dy
1.1430 5.8286 0.0000 Cu
3.5425 1.1430 0.0000 Cu
5.8286 8.2280 0.0000 Cu
8.2280 3.5425 0.0000 Cu
0.0000 0.0000 0.0000 Sn
4.6855 4.6855 0.0000 Sn
0.0000 4.6855 1.9198 Rh
0.6592 7.4193 1.9198 Rh
1.9518 0.6592 1.9198 Rh
2.7338 5.3447 1.9198 Rh
4.0264 2.7338 1.9198 Rh
4.6855 0.0000 1.9198 Rh
5.3447 6.6373 1.9198 Rh
6.6373 4.0264 1.9198 Rh
7.4193 8.7119 1.9198 Rh
8.7119 1.9518 1.9198 Rh
```

9.
For DyYCuRh, a structure optimized by DFT (GGA-PBE) gives the simulated powder X-ray diffraction pattern in this record (Cu Kα (weighted mean of Kα1 and Kα2)).
Kinematic intensities with the Lorentz-polarization factor, no thermal factor.

Main lines, in order of rising 2θ (10 to 90 degrees two-theta):
| two_theta | I_rel |
| --- | --- |
| 22.27 | 7.9 |
| 25.76 | 3.9 |
| 36.76 | 100.0 |
| 43.40 | 4.4 |
| 52.96 | 17.2 |
| 66.20 | 34.5 |
| 78.19 | 10.6 |
| 89.66 | 15.5 |

Structural model:
```
DyYCuRh
1.0
0.0000 3.4578 3.4578
3.4578 0.0000 3.4578
3.4578 3.4578 0.0000
Dy Y Cu Rh
1 1 1 1
Cartesian
0.0000 0.0000 0.0000 Dy
3.4578 3.4578 3.4578 Y
1.7289 1.7289 1.7289 Cu
5.1867 5.1867 5.1867 Rh
```

10.
For Dy3CuSiS7, a structure optimized by DFT (GGA-PBE) gives the simulated powder X-ray diffraction pattern in this record (Cu Kα (weighted mean of Kα1 and Kα2)).
Kinematic intensities with the Lorentz-polarization factor, no thermal factor.

Main lines, in order of rising 2θ (10 to 90 degrees two-theta):
| two_theta | I_rel |
| --- | --- |
| 18.69 | 31.7 |
| 23.81 | 36.3 |
| 26.01 | 100.0 |
| 27.54 | 36.7 |
| 36.32 | 51.5 |
| 37.87 | 64.2 |
| 41.15 | 43.6 |
| 42.22 | 49.6 |

Structural model:
```
Dy3CuSiS7
1.0
9.8944 0.0000 0.0000
-4.9472 8.5688 0.0000
0.0000 0.0000 5.7049
Dy Cu Si S
6 2 2 14
Cartesian
-0.4930 3.0591 0.0000 Dy
-2.0515 7.4662 0.0000 Dy
2.4028 1.9565 2.8525 Dy
2.5444 6.6124 0.0000 Dy
6.9987 1.1027 2.8525 Dy
5.4402 5.5097 2.8525 Dy
0.0000 0.0000 2.5962 Cu
0.0000 0.0000 5.4487 Cu
0.0000 5.7126 3.3575 Si
4.9472 2.8563 0.5050 Si
-0.3427 2.2118 2.6976 S
-1.8352 5.0021 4.2138 S
-2.8604 7.7597 2.6976 S
1.7441 1.4027 5.5501 S
0.0000 5.7126 1.2448 S
1.5329 4.4785 4.2138 S
0.3023 7.6572 4.2138 S
4.6449 0.9117 1.3614 S
3.4143 4.0904 1.3614 S
4.9472 2.8563 4.0972 S
3.2031 7.1662 2.6976 S
7.8076 0.8091 5.5501 S
6.7824 3.5668 1.3614 S
5.2899 6.3571 5.5501 S
```

11.
For Dy3CuSnS7, a structure optimized by DFT (GGA-PBE) gives the simulated powder X-ray diffraction pattern in this record (Cu Kα (weighted mean of Kα1 and Kα2)).
Kinematic intensities with the Lorentz-polarization factor, no thermal factor.

Main lines, in order of rising 2θ (10 to 90 degrees two-theta):
| two_theta | I_rel |
| --- | --- |
| 21.03 | 17.2 |
| 25.44 | 100.0 |
| 28.52 | 18.8 |
| 35.71 | 29.4 |
| 36.86 | 52.5 |
| 45.32 | 16.9 |
| 47.25 | 22.8 |
| 48.67 | 23.5 |

Structural model:
```
Dy3CuSnS7
1.0
9.7546 0.0000 0.0000
-4.8773 8.4477 0.0000
0.0000 0.0000 6.2594
Dy Cu Sn S
6 2 2 14
Cartesian
-2.3889 6.6837 0.0000 Dy
0.2835 3.0370 0.0000 Dy
2.7719 1.2730 3.1297 Dy
2.1054 7.1747 0.0000 Dy
4.5938 5.4107 3.1297 Dy
7.2662 1.7640 3.1297 Dy
0.0000 0.0000 2.4228 Cu
0.0000 0.0000 5.5524 Cu
0.0000 5.6318 3.5388 Sn
4.8773 2.8159 0.4091 Sn
-1.7347 4.3891 4.6823 S
-3.0346 7.2088 2.6243 S
0.1516 2.2152 2.6243 S
1.9943 0.9763 5.7540 S
0.0000 5.6318 1.1355 S
-0.2089 7.7555 4.6823 S
1.9436 4.7509 4.6823 S
2.9337 3.6968 1.5526 S
5.0862 0.6922 1.5526 S
4.8773 2.8159 4.2652 S
2.8830 7.4714 2.6243 S
4.7257 6.2325 5.7540 S
7.9119 1.2389 5.7540 S
6.6120 4.0587 1.5526 S
```

12.
For SrDyCu2S4, a structure optimized by DFT (GGA-PBE) gives the simulated powder X-ray diffraction pattern in this record (Cu Kα (weighted mean of Kα1 and Kα2)).
Kinematic intensities with the Lorentz-polarization factor, no thermal factor.

Main lines, in order of rising 2θ (10 to 90 degrees two-theta):
| two_theta | I_rel |
| --- | --- |
| 17.58 | 13.9 |
| 26.98 | 28.2 |
| 29.81 | 100.0 |
| 35.58 | 19.8 |
| 38.52 | 41.8 |
| 49.45 | 50.6 |
| 54.58 | 13.6 |
| 61.92 | 16.4 |

Structural model:
```
SrDyCu2S4
1.0
-3.3050 3.3050 3.9063
3.3050 -3.3050 3.9063
3.3050 3.3050 -3.9063
Sr Dy Cu S
1 1 2 4
Cartesian
0.0000 0.0000 0.0000 Sr
0.0000 0.0000 3.9063 Dy
3.3050 0.0000 1.9532 Cu
0.0000 3.3050 1.9532 Cu
1.8280 1.8280 -1.6542 S
1.4770 -1.4770 5.5606 S
1.4770 1.4770 2.2521 S
-1.4770 1.4770 5.5606 S
```